Entry 1:
For Li5ZnCd, the PBE geometry in Alexandria gives the theoretical X-ray diffraction stick pattern in this record (a wavelength of 1.5418 Å).
Lines closer than 0.1° are merged.

Main lines, by angle (2θ from 10° to 90°):
(hkl)  2θ (°)  intensity
1 1 1  23.9  100
2 0 0  27.4  32
0 0 2  28.3  15
2 2 0  39.1  19
2 0 2  39.8  35
3 1 1  46.3  33
1 1 3  47.5  15
2 2 2  49.0  13

Cell and atoms:
```
Li5ZnCd
1.0
6.513 0.000 0.000
0.000 6.525 0.000
0.000 0.000 6.306
Li Zn Cd
10 2 2
Direct
0.000 0.000 0.000 Li
0.250 0.250 0.273 Li
0.250 0.250 0.727 Li
0.250 0.750 0.273 Li
0.250 0.750 0.727 Li
0.500 0.500 0.000 Li
0.750 0.250 0.273 Li
0.750 0.250 0.727 Li
0.750 0.750 0.273 Li
0.750 0.750 0.727 Li
0.000 0.000 0.500 Zn
0.500 0.500 0.500 Zn
0.000 0.500 0.000 Cd
0.500 0.000 0.000 Cd
```


Entry 2:
For Ac2NdAuO5, the PBE geometry in Alexandria gives the theoretical X-ray diffraction stick pattern in this record (a wavelength of 1.5418 Å).
Lines closer than 0.1° are merged.

Main lines, by angle (2θ from 10° to 90°):
(hkl)  2θ (°)  intensity
2 1 0  28.5  33
0 0 2  28.9  52
2 0 1  29.3  100
2 1 1  32.1  69
2 2 0  36.3  24
2 1 2  41.1  44
2 0 3  51.5  24
4 0 1  54.5  24

Cell and atoms:
```
Ac2NdAuO5
1.0
6.996 0.000 0.000
0.000 6.996 0.000
0.000 0.000 6.181
Ac Nd Au O
4 2 2 10
Direct
0.162 0.338 0.000 Ac
0.338 0.838 0.000 Ac
0.662 0.162 0.000 Ac
0.838 0.662 0.000 Ac
0.000 0.000 0.500 Nd
0.500 0.500 0.500 Nd
0.000 0.500 0.500 Au
0.500 0.000 0.500 Au
0.000 0.000 0.000 O
0.181 0.681 0.272 O
0.181 0.681 0.728 O
0.319 0.181 0.272 O
0.319 0.181 0.728 O
0.500 0.500 0.000 O
0.681 0.819 0.272 O
0.681 0.819 0.728 O
0.819 0.319 0.272 O
0.819 0.319 0.728 O
```


Entry 3:
For Ba4CaZr5O15, the PBE geometry in Alexandria gives the theoretical X-ray diffraction stick pattern in this record (a wavelength of 1.5418 Å).
Lines closer than 0.1° are merged.

Main lines, by angle (2θ from 10° to 90°):
(hkl)  2θ (°)  intensity
3 1 0  29.8  100
3 1 1  36.7  5
0 0 2  42.7  33
5 0 1  52.9  40
2 4 2  62.0  20
1 2 3  70.3  17
6 2 2  78.2  7
5 0 3  85.8  21

Cell and atoms:
```
Ba4CaZr5O15
1.0
9.471 0.000 0.000
0.000 9.471 0.000
0.000 0.000 4.238
Ba Ca Zr O
4 1 5 15
Direct
0.102 0.699 0.000 Ba
0.301 0.102 0.000 Ba
0.699 0.898 0.000 Ba
0.898 0.301 0.000 Ba
0.500 0.500 0.000 Ca
0.000 0.000 0.500 Zr
0.203 0.401 0.500 Zr
0.401 0.797 0.500 Zr
0.599 0.203 0.500 Zr
0.797 0.599 0.500 Zr
0.000 0.000 0.000 O
0.000 0.500 0.500 O
0.103 0.199 0.500 O
0.199 0.897 0.500 O
0.209 0.403 0.000 O
0.304 0.598 0.500 O
0.402 0.304 0.500 O
0.403 0.791 0.000 O
0.500 0.000 0.500 O
0.597 0.209 0.000 O
0.598 0.696 0.500 O
0.696 0.402 0.500 O
0.791 0.597 0.000 O
0.801 0.103 0.500 O
0.897 0.801 0.500 O
```